Simulated powder diffraction line list of Pr4ZnCo3 for Cu Kα (weighted mean of Kα1 and Kα2), from a crystal structure in Alexandria, relaxed with GGA-PBE.
Lines closer than 0.1° are merged.

Structure:
```
Pr4ZnCo3
1.0
4.108 0.000 0.000
0.000 4.144 0.000
0.000 0.000 11.118
Pr Zn Co
4 1 3
Direct
0.000 0.000 0.000
0.000 0.500 0.277
0.500 0.000 0.488
0.500 0.500 0.773
0.000 0.000 0.695
0.000 0.500 0.569
0.500 0.000 0.186
0.500 0.500 0.094
```

Peak list (8 most intense, 10° ≤ 2θ ≤ 90°, sorted by position)
2θ 26.83, rel. 43, hkl 0 1 2
2θ 31.71, rel. 100, hkl 1 1 1
2θ 32.54, rel. 67, hkl 1 0 3
2θ 39.02, rel. 22, hkl 0 1 4
2θ 39.30, rel. 48, hkl 1 1 3
2θ 43.68, rel. 25, hkl 0 2 0
2θ 44.09, rel. 25, hkl 2 0 0
2θ 55.51, rel. 29, hkl 1 2 3



Simulated powder diffraction line list of Pr3ZnCo2 for Cu Kα (weighted mean of Kα1 and Kα2), from a crystal structure in Alexandria, relaxed with GGA-PBE.
Lines closer than 0.1° are merged.

Structure:
```
Pr3ZnCo2
1.0
7.772 0.000 0.000
0.000 8.867 0.000
-5.351 0.000 8.455
Pr Zn Co
12 4 8
Direct
0.242 0.038 0.412
0.242 0.038 0.913
0.242 0.462 0.413
0.242 0.462 0.912
0.255 0.749 0.157
0.255 0.751 0.657
0.745 0.249 0.343
0.745 0.251 0.843
0.758 0.538 0.088
0.758 0.538 0.587
0.758 0.962 0.087
0.758 0.962 0.588
0.285 0.250 0.184
0.285 0.250 0.684
0.715 0.750 0.316
0.715 0.750 0.816
0.026 0.750 0.309
0.026 0.750 0.809
0.500 0.000 0.250
0.500 0.000 0.750
0.500 0.500 0.250
0.500 0.500 0.750
0.974 0.250 0.191
0.974 0.250 0.691
```

Peak list (8 most intense, 10° ≤ 2θ ≤ 90°, sorted by position)
2θ 26.97, rel. 81, hkl 1 2 -2
2θ 27.16, rel. 60, hkl 2 0 0
2θ 33.24, rel. 38, hkl 1 3 0
2θ 36.20, rel. 33, hkl 2 0 -4
2θ 36.90, rel. 100, hkl 1 2 2
2θ 37.07, rel. 47, hkl 1 0 -4
2θ 40.33, rel. 89, hkl 3 2 -2
2θ 40.70, rel. 38, hkl 0 4 0